No. 1
Diffraction record for Li2Tl5Hg12. The powder diffraction line list is computed, not measured: it uses the PBE geometry in Alexandria and CuKα.

Main lines, sorted by position (2θ from 10° to 90°):
| (hkl) | 2theta | intensity |
| --- | --- | --- |
| 1 1 2 | 27.6 | 23 |
| 4 2 0 | 30.1 | 95 |
| 5 1 0 | 30.8 | 19 |
| 0 2 2 | 31.6 | 100 |
| 3 1 -2 | 32.2 | 25 |
| 4 2 -1 | 32.7 | 55 |
| 5 1 1 | 33.4 | 23 |
| 2 2 2 | 33.8 | 40 |
| 0 4 0 | 38.1 | 58 |
| 8 4 -1 | 64.0 | 21 |

Crystal structure
```
data_Li2Tl5Hg12
_chemical_formula_sum 'Li4 Tl10 Hg24'
_cell_length_a 15.278
_cell_length_b 9.452
_cell_length_c 7.066
_cell_angle_alpha 90.00
_cell_angle_beta 90.27
_cell_angle_gamma 90.00
_symmetry_space_group_name_H-M 'C 1 2/m 1'
_symmetry_Int_Tables_number 12
_symmetry_space_group_name_Hall '-C 2y'
loop_
_atom_site_label
_atom_site_fract_x
_atom_site_fract_y
_atom_site_fract_z
Li1 0.000 0.228 0.000
Tl1 0.000 0.500 0.500
Tl2 0.193 0.000 0.020
Tl3 0.246 0.000 0.525
Hg1 0.012 0.000 0.719
Hg2 0.098 0.500 0.034
Hg3 0.125 0.246 0.306
Hg4 0.145 0.270 0.744
```


No. 2
Diffraction record for Li3Tl2Hg. The powder diffraction line list is computed, not measured: it uses the PBE geometry in Alexandria and CuKα.

Main lines, sorted by position (2θ from 10° to 90°):
| (hkl) | 2theta | intensity |
| --- | --- | --- |
| 1 0 1 | 25.6 | 100 |
| 1 0 -2 | 26.0 | 97 |
| 0 2 0 | 26.5 | 93 |
| 2 0 -1 | 36.8 | 88 |
| 1 2 1 | 37.2 | 86 |
| 1 2 -2 | 37.4 | 84 |
| 2 2 -1 | 45.9 | 86 |
| 3 0 0 | 59.6 | 20 |
| 3 2 0 | 66.4 | 32 |
| 2 4 -1 | 67.6 | 31 |

Crystal structure
```
data_Li3Tl2Hg
_chemical_formula_sum 'Li6 Tl4 Hg2'
_cell_length_a 4.888
_cell_length_b 6.737
_cell_length_c 7.688
_cell_angle_alpha 90.00
_cell_angle_beta 107.79
_cell_angle_gamma 90.00
_symmetry_space_group_name_H-M 'P 1 2/m 1'
_symmetry_Int_Tables_number 10
_symmetry_space_group_name_Hall '-P 2y'
loop_
_atom_site_label
_atom_site_fract_x
_atom_site_fract_y
_atom_site_fract_z
Li1 0.000 0.247 0.000
Li2 0.329 0.235 0.657
Tl1 0.167 0.500 0.335
Tl2 0.500 0.000 0.000
Tl3 0.500 0.500 0.000
Hg1 0.163 0.000 0.326
```


No. 3
Diffraction record for Li2Tl2Hg. The powder diffraction line list is computed, not measured: it uses the PBE geometry in Alexandria and CuKα.

Main lines, sorted by position (2θ from 10° to 90°):
| (hkl) | 2theta | intensity |
| --- | --- | --- |
| 1 0 1 | 23.4 | 39 |
| 0 2 0 | 28.0 | 46 |
| 1 1 2 | 33.0 | 100 |
| 0 1 3 | 34.7 | 40 |
| 1 2 1 | 36.8 | 28 |
| 2 0 0 | 42.5 | 16 |
| 2 2 0 | 51.7 | 18 |
| 1 3 2 | 52.8 | 27 |
| 2 1 3 | 56.0 | 22 |
| 1 2 5 | 66.2 | 18 |

Crystal structure
```
data_Li2Tl2Hg
_chemical_formula_sum 'Li4 Tl4 Hg2'
_cell_length_a 4.250
_cell_length_b 6.369
_cell_length_c 8.478
_cell_angle_alpha 90.00
_cell_angle_beta 90.00
_cell_angle_gamma 90.00
_symmetry_space_group_name_H-M 'I m m m'
_symmetry_Int_Tables_number 71
_symmetry_space_group_name_Hall '-I 2 2'
loop_
_atom_site_label
_atom_site_fract_x
_atom_site_fract_y
_atom_site_fract_z
Li1 0.000 0.229 0.000
Tl1 0.000 0.500 0.297
Hg1 0.000 0.000 0.500
```